No. 1
For Th3Sc4Sn4, a DFT-relaxed cell (PBE, Alexandria) gives the simulated X-ray diffraction stick pattern in this record (Cu Kα).

Top 10 peaks for 2θ = 5–70°, in order of falling intensity:
hkl 2 2 0, 3.043 Å, 2θ = 29.35°, I 100
hkl 3 1 0, 2.722 Å, 2θ = 32.90°, I 33
hkl 2 1 1, 3.514 Å, 2θ = 25.34°, I 32
hkl 4 2 2, 1.757 Å, 2θ = 52.05°, I 26
hkl 4 2 0, 1.925 Å, 2θ = 47.22°, I 21
hkl 4 1 1, 2.029 Å, 2θ = 44.66°, I 21
hkl 6 0 0, 1.435 Å, 2θ = 65.01°, I 17
hkl 3 2 1, 2.301 Å, 2θ = 39.16°, I 14
hkl 3 3 2, 1.835 Å, 2θ = 49.68°, I 13
hkl 2 0 0, 4.304 Å, 2θ = 20.64°, I 11

Structure:
Cell: 8.608 8.608 8.608 Å, 90.00 90.00 90.00°
Space group I-43m (No. 217)
Inequivalent atoms, fractional coordinates:
Th: 0.000 0.000 0.500
Sc: 0.123 0.123 0.123
Sn: 0.196 0.196 0.804

No. 2
For NdGaSi2Ni5, a DFT-relaxed cell (PBE, Alexandria) gives the simulated X-ray diffraction stick pattern in this record (Cu Kα).

Top 10 peaks for 2θ = 5–70°, in order of falling intensity:
hkl 1 1 4, 1.825 Å, 2θ = 49.98°, I 100
hkl 1 1 1, 2.584 Å, 2θ = 34.72°, I 92
hkl 1 1 2, 2.358 Å, 2θ = 38.17°, I 82
hkl 2 0 0, 1.891 Å, 2θ = 48.11°, I 73
hkl 1 0 2, 3.015 Å, 2θ = 29.63°, I 68
hkl 0 0 3, 3.328 Å, 2θ = 26.79°, I 67
hkl 2 0 3, 1.644 Å, 2θ = 55.91°, I 33
hkl 2 1 2, 1.602 Å, 2θ = 57.55°, I 30
hkl 0 0 2, 4.993 Å, 2θ = 17.77°, I 25
hkl 1 1 3, 2.084 Å, 2θ = 43.41°, I 18

Structure:
Cell: 3.783 3.783 9.985 Å, 90.00 90.00 90.00°
Space group P4/mmm (No. 123)
Inequivalent atoms, fractional coordinates:
Nd: 0.000 0.000 0.000
Ga: 0.000 0.000 0.500
Si: 0.500 0.500 0.222
Ni: 0.000 0.500 0.347
Ni: 0.500 0.500 0.000

No. 3
For Mg2Cd3Ag2, a DFT-relaxed cell (PBE, Alexandria) gives the simulated X-ray diffraction stick pattern in this record (Cu Kα).

Top 10 peaks for 2θ = 5–70°, in order of falling intensity:
hkl 1 1 2, 2.486 Å, 2θ = 36.14°, I 100
hkl 0 2 0, 2.194 Å, 2θ = 41.14°, I 35
hkl 2 0 4, 1.508 Å, 2θ = 61.48°, I 19
hkl 2 0 -3, 2.076 Å, 2θ = 43.59°, I 14
hkl 4 2 1, 1.551 Å, 2θ = 59.59°, I 12
hkl 1 1 0, 3.993 Å, 2θ = 22.26°, I 11
hkl 2 0 -1, 4.098 Å, 2θ = 21.69°, I 7
hkl 1 1 -1, 3.478 Å, 2θ = 25.61°, I 5
hkl 2 0 2, 2.595 Å, 2θ = 34.56°, I 4
hkl 3 1 1, 2.348 Å, 2θ = 38.33°, I 4

Structure:
Cell: 9.714 4.385 6.605 Å, 90.00 95.87 90.00°
Space group C2/m (No. 12)
Inequivalent atoms, fractional coordinates:
Mg: 0.081 0.000 0.205
Cd: 0.000 0.500 0.500
Cd: 0.209 0.000 0.654
Ag: 0.138 0.500 0.934

No. 4
For Sr2AlZn6Ni, a DFT-relaxed cell (PBE, Alexandria) gives the simulated X-ray diffraction stick pattern in this record (Cu Kα).

Top 10 peaks for 2θ = 5–70°, in order of falling intensity:
hkl 2 0 2, 2.783 Å, 2θ = 32.17°, I 100
hkl 2 2 0, 2.410 Å, 2θ = 37.31°, I 92
hkl 2 2 4, 1.705 Å, 2θ = 53.78°, I 51
hkl 2 4 2, 1.454 Å, 2θ = 64.04°, I 25
hkl 2 0 0, 3.408 Å, 2θ = 26.15°, I 17
hkl 4 2 2, 1.452 Å, 2θ = 64.14°, I 12
hkl 4 0 0, 1.701 Å, 2θ = 53.89°, I 10
hkl 0 4 4, 1.393 Å, 2θ = 67.23°, I 10
hkl 4 0 4, 1.390 Å, 2θ = 67.35°, I 10
hkl 1 0 1, 5.566 Å, 2θ = 15.92°, I 9

Structure:
Cell: 6.806 6.823 9.647 Å, 90.00 90.00 90.00°
Space group Immm (No. 71)
Inequivalent atoms, fractional coordinates:
Sr: 0.000 0.000 0.250
Al: 0.000 0.500 0.000
Zn: 0.000 0.500 0.261
Zn: 0.239 0.260 0.500
Ni: 0.000 0.500 0.500

No. 5
For Li3ZrPd4, a DFT-relaxed cell (PBE, Alexandria) gives the simulated X-ray diffraction stick pattern in this record (Cu Kα).

Top 10 peaks for 2θ = 5–70°, in order of falling intensity:
hkl 2 2 0, 2.205 Å, 2θ = 40.92°, I 100
hkl 2 0 0, 3.119 Å, 2θ = 28.62°, I 48
hkl 1 1 0, 4.411 Å, 2θ = 20.13°, I 17
hkl 4 0 0, 1.559 Å, 2θ = 59.25°, I 16
hkl 4 2 0, 1.395 Å, 2θ = 67.11°, I 16
hkl 2 2 2, 1.801 Å, 2θ = 50.70°, I 13
hkl 2 1 1, 2.547 Å, 2θ = 35.24°, I 8
hkl 3 2 1, 1.667 Å, 2θ = 55.09°, I 4
hkl 3 1 0, 1.973 Å, 2θ = 46.01°, I 4
hkl 4 1 1, 1.470 Å, 2θ = 63.25°, I 2

Structure:
Cell: 6.238 6.238 6.238 Å, 90.00 90.00 90.00°
Space group Im-3m (No. 229)
Inequivalent atoms, fractional coordinates:
Li: 0.000 0.000 0.500
Zr: 0.000 0.000 0.000
Pd: 0.250 0.250 0.250

No. 6
For Tm4ThS5, a DFT-relaxed cell (PBE, Alexandria) gives the simulated X-ray diffraction stick pattern in this record (Cu Kα).

Top 10 peaks for 2θ = 5–70°, in order of falling intensity:
hkl 1 0 5, 2.746 Å, 2θ = 32.61°, I 100
hkl 1 2 5, 1.947 Å, 2θ = 46.66°, I 73
hkl 0 1 5, 3.187 Å, 2θ = 28.00°, I 69
hkl 1 1 0, 3.165 Å, 2θ = 28.19°, I 68
hkl 0 2 0, 2.760 Å, 2θ = 32.44°, I 51
hkl 1 3 0, 1.661 Å, 2θ = 55.30°, I 34
hkl 2 1 5, 1.652 Å, 2θ = 55.64°, I 22
hkl 2 2 0, 1.583 Å, 2θ = 58.30°, I 19
hkl 0 2 10, 1.593 Å, 2θ = 57.87°, I 19
hkl 0 0 10, 1.951 Å, 2θ = 46.54°, I 18

Structure:
Cell: 3.863 5.520 19.514 Å, 90.00 90.00 90.00°
Space group Immm (No. 71)
Inequivalent atoms, fractional coordinates:
Tm: 0.000 0.000 0.097
Tm: 0.000 0.000 0.298
Th: 0.000 0.000 0.500
S: 0.000 0.500 0.108
S: 0.000 0.500 0.301
S: 0.000 0.500 0.500

Repeat the first record exactly.
For Th3Sc4Sn4, a DFT-relaxed cell (PBE, Alexandria) gives the simulated X-ray diffraction stick pattern in this record (Cu Kα).

Top 10 peaks for 2θ = 5–70°, in order of falling intensity:
hkl 2 2 0, 3.043 Å, 2θ = 29.35°, I 100
hkl 3 1 0, 2.722 Å, 2θ = 32.90°, I 33
hkl 2 1 1, 3.514 Å, 2θ = 25.34°, I 32
hkl 4 2 2, 1.757 Å, 2θ = 52.05°, I 26
hkl 4 2 0, 1.925 Å, 2θ = 47.22°, I 21
hkl 4 1 1, 2.029 Å, 2θ = 44.66°, I 21
hkl 6 0 0, 1.435 Å, 2θ = 65.01°, I 17
hkl 3 2 1, 2.301 Å, 2θ = 39.16°, I 14
hkl 3 3 2, 1.835 Å, 2θ = 49.68°, I 13
hkl 2 0 0, 4.304 Å, 2θ = 20.64°, I 11

Structure:
Cell: 8.608 8.608 8.608 Å, 90.00 90.00 90.00°
Space group I-43m (No. 217)
Inequivalent atoms, fractional coordinates:
Th: 0.000 0.000 0.500
Sc: 0.123 0.123 0.123
Sn: 0.196 0.196 0.804